Calculated powder diffractogram of Li4Pr3Ge4 for a wavelength of 1.5418 Å, from a structure optimized by DFT (PBE).

Structural model:
```
Li4Pr3Ge4
1.0
-2.229 3.431 7.404
2.229 -3.431 7.404
2.229 3.431 -7.404
Li Pr Ge
4 3 4
direct
0.020 0.829 0.190
0.361 0.171 0.190
0.639 0.829 0.810
0.980 0.171 0.810
0.000 0.500 0.500
0.368 0.368 0.000
0.632 0.632 0.000
0.213 0.713 0.500
0.315 0.000 0.315
0.685 0.000 0.685
0.787 0.287 0.500
```

Top 6 peaks for 10 to 80 degrees two-theta, by angle:
- d = 3.431 Å, 2θ 26.0, I 320
- d = 3.308 Å, 2θ 27.0, I 266
- d = 2.719 Å, 2θ 32.9, I 238
- d = 2.674 Å, 2θ 33.5, I 724
- d = 2.630 Å, 2θ 34.1, I 1000
- d = 2.229 Å, 2θ 40.5, I 262